Record 1
Simulated X-ray diffraction stick pattern
Compound: Ca7MgFeCo7O24
Radiation: copper Kα
Structure: a DFT-relaxed cell (PBE+U, the Materials Project)
Peak positions follow from Bragg's law for the DFT cell and can differ from measured ones.

Unit cell a=7.5588 b=7.5588 c=7.5588 alpha=90.05 beta=90.05 gamma=90.05
Element x y z (fractional)
Ca 0.0000 0.0000 0.0000
Ca 0.9997 0.9997 0.4989
Ca 0.9997 0.4989 0.9997
Ca 0.9997 0.4989 0.4989
Ca 0.4989 0.9997 0.9997
Ca 0.4989 0.9997 0.4989
Ca 0.4989 0.4989 0.9997
Mg 0.4978 0.4978 0.4978
Fe 0.2498 0.2498 0.2498
Co 0.2498 0.2498 0.7485
Co 0.2498 0.7485 0.2498
Co 0.2503 0.7487 0.7487
Co 0.7485 0.2498 0.2498
Co 0.7487 0.2503 0.7487
Co 0.7487 0.7487 0.2503
Co 0.7490 0.7490 0.7490
O 0.0021 0.2499 0.7489
O 0.0021 0.7489 0.2499
O 0.2499 0.0021 0.7489
O 0.2500 0.2500 0.9947
O 0.2499 0.7489 0.0021
O 0.2500 0.9947 0.2500
O 0.2520 0.2520 0.5044
O 0.2519 0.4968 0.7468
O 0.2520 0.5044 0.2520
O 0.2519 0.7468 0.4968
O 0.4968 0.2519 0.7468
O 0.4968 0.7468 0.2519
O 0.5034 0.7467 0.7467
O 0.5044 0.2520 0.2520
O 0.7468 0.2519 0.4968
O 0.7468 0.4968 0.2519
O 0.7467 0.5034 0.7467
O 0.7467 0.7467 0.5034
O 0.7489 0.0021 0.2499
O 0.7489 0.2499 0.0021
O 0.7487 0.7487 0.9948
O 0.7487 0.9948 0.7487
O 0.9947 0.2500 0.2500
O 0.9948 0.7487 0.7487

Top 6 peaks for 5 to 70 degrees two-theta, by angle:
| 2θ (°) | d/Å | I_rel |
| --- | --- | --- |
| 23.54 | 3.779 | 26 |
| 33.53 | 2.672 | 100 |
| 41.38 | 2.182 | 3 |
| 48.15 | 1.890 | 51 |
| 54.27 | 1.690 | 9 |
| 59.95 | 1.543 | 35 |

Record 2
Simulated X-ray diffraction stick pattern
Compound: KDyMo2O8
Radiation: copper Kα
Structure: a DFT-relaxed cell (PBE+U, the Materials Project)
Peak positions follow from Bragg's law for the DFT cell and can differ from measured ones.

Unit cell a=7.5020 b=7.5020 c=7.7797 alpha=118.25 beta=118.25 gamma=88.12
Element x y z (fractional)
K 0.2001 0.7999 0.7500
K 0.7999 0.2001 0.2500
Dy 0.2290 0.7710 0.2500
Dy 0.7710 0.2290 0.7500
Mo 0.3025 0.3046 0.7611
Mo 0.3046 0.3025 0.2611
Mo 0.6954 0.6975 0.7389
Mo 0.6975 0.6954 0.2389
O 0.0457 0.2063 0.6906
O 0.0667 0.3832 0.1240
O 0.2063 0.0457 0.1906
O 0.2318 0.3866 0.5605
O 0.3670 0.5858 0.0299
O 0.3832 0.0667 0.6240
O 0.3866 0.2318 0.0605
O 0.4142 0.6330 0.4701
O 0.5858 0.3670 0.5299
O 0.6134 0.7682 0.9395
O 0.6168 0.9333 0.3760
O 0.6330 0.4142 0.9701
O 0.7682 0.6134 0.4395
O 0.7937 0.9543 0.8094
O 0.9333 0.6168 0.8760
O 0.9543 0.7937 0.3094

Top 6 peaks for 5 to 70 degrees two-theta, by angle:
| 2θ (°) | d/Å | I_rel |
| --- | --- | --- |
| 14.23 | 6.223 | 63 |
| 27.67 | 3.224 | 24 |
| 27.87 | 3.201 | 100 |
| 28.69 | 3.111 | 85 |
| 30.55 | 2.927 | 38 |
| 46.64 | 1.947 | 24 |

Record 3
Simulated X-ray diffraction stick pattern
Compound: FeSi2C4Cl6O4
Radiation: copper Kα
Structure: a DFT-relaxed cell (PBE+U, the Materials Project)
Peak positions follow from Bragg's law for the DFT cell and can differ from measured ones.

Unit cell a=8.5246 b=10.1075 c=11.9018 alpha=90.00 beta=129.26 gamma=90.00
Element x y z (fractional)
Fe 0.0000 0.0000 0.0000
Fe 0.0000 0.5000 0.5000
Si 0.2095 0.1597 0.0078
Si 0.2095 0.3403 0.5078
Si 0.7905 0.6597 0.4922
Si 0.7905 0.8403 0.9922
C 0.1275 0.6260 0.4741
C 0.1275 0.8740 0.9741
C 0.1838 0.5225 0.6967
C 0.1838 0.9775 0.1967
C 0.8162 0.0225 0.8033
C 0.8162 0.4775 0.3033
C 0.8725 0.1260 0.0259
C 0.8725 0.3740 0.5259
Cl 0.1127 0.1459 0.4783
Cl 0.1127 0.3541 0.9783
Cl 0.2399 0.1328 0.8494
Cl 0.2399 0.3672 0.3494
Cl 0.4945 0.6605 0.2996
Cl 0.4945 0.8395 0.7996
Cl 0.5055 0.1605 0.2004
Cl 0.5055 0.3395 0.7004
Cl 0.7601 0.6328 0.6506
Cl 0.7601 0.8672 0.1506
Cl 0.8873 0.6459 0.0217
Cl 0.8873 0.8541 0.5217
O 0.2082 0.7048 0.4572
O 0.2082 0.7952 0.9572
O 0.2982 0.5362 0.8205
O 0.2982 0.9638 0.3205
O 0.7018 0.0362 0.6795
O 0.7018 0.4638 0.1795
O 0.7918 0.2048 0.0428
O 0.7918 0.2952 0.5428

Top 6 peaks for 5 to 70 degrees two-theta, by angle:
| 2θ (°) | d/Å | I_rel |
| --- | --- | --- |
| 13.00 | 6.810 | 100 |
| 16.04 | 5.527 | 37 |
| 27.47 | 3.247 | 49 |
| 28.39 | 3.144 | 57 |
| 28.51 | 3.131 | 47 |
| 29.85 | 2.993 | 58 |

Record 4
Simulated X-ray diffraction stick pattern
Compound: Sr5V3ClO12
Radiation: copper Kα
Structure: a DFT-relaxed cell (PBE+U, the Materials Project)
Peak positions follow from Bragg's law for the DFT cell and can differ from measured ones.

Unit cell a=10.4505 b=10.4505 c=7.3151 alpha=90.00 beta=90.00 gamma=120.00
Element x y z (fractional)
Sr 0.0078 0.7517 0.2500
Sr 0.2483 0.2561 0.2500
Sr 0.2561 0.0078 0.7500
Sr 0.3333 0.6667 0.5026
Sr 0.3333 0.6667 0.9974
Sr 0.6667 0.3333 0.0026
Sr 0.6667 0.3333 0.4974
Sr 0.7439 0.9922 0.2500
Sr 0.7517 0.7439 0.7500
Sr 0.9922 0.2483 0.7500
V 0.0322 0.4071 0.2500
V 0.3749 0.9678 0.2500
V 0.4071 0.3749 0.7500
V 0.5929 0.6251 0.2500
V 0.6251 0.0322 0.7500
V 0.9678 0.5929 0.7500
Cl 0.0000 0.0000 0.0000
Cl 0.0000 0.0000 0.5000
O 0.0934 0.3517 0.0617
O 0.0934 0.3517 0.4383
O 0.1310 0.6013 0.2500
O 0.1587 0.6665 0.7500
O 0.2583 0.9066 0.0617
O 0.2583 0.9066 0.4383
O 0.3335 0.4922 0.7500
O 0.3517 0.2583 0.5617
O 0.3517 0.2583 0.9383
O 0.3987 0.5297 0.2500
O 0.4703 0.8690 0.2500
O 0.4922 0.1587 0.2500
O 0.5078 0.8413 0.7500
O 0.5297 0.1310 0.7500
O 0.6013 0.4703 0.7500
O 0.6483 0.7417 0.0617
O 0.6483 0.7417 0.4383
O 0.6665 0.5078 0.2500
O 0.7417 0.0934 0.5617
O 0.7417 0.0934 0.9383
O 0.8413 0.3335 0.2500
O 0.8690 0.3987 0.7500
O 0.9066 0.6483 0.5617
O 0.9066 0.6483 0.9383

Top 6 peaks for 5 to 70 degrees two-theta, by angle:
| 2θ (°) | d/Å | I_rel |
| --- | --- | --- |
| 28.81 | 3.099 | 100 |
| 29.61 | 3.017 | 62 |
| 29.82 | 2.996 | 87 |
| 42.52 | 2.126 | 42 |
| 45.41 | 1.997 | 21 |
| 45.69 | 1.986 | 30 |